The following is a calculated powder XRD pattern of Fe3H9S2O15. It was derived from DFT lattice parameters and positions (GGA+U), using Cu Kα (weighted mean of Kα1 and Kα2).
Neutral-atom scattering factors, no anomalous dispersion.

The 10 most intense peaks (15° ≤ 2θ ≤ 90°), by angle:
| Position (°2θ) | Rel. int. |
| --- | --- |
| 15.41 | 41 |
| 17.00 | 38 |
| 17.23 | 73 |
| 27.87 | 35 |
| 28.25 | 100 |
| 28.42 | 22 |
| 28.57 | 57 |
| 31.10 | 19 |
| 39.18 | 26 |
| 48.67 | 30 |

Cell and atoms:
```
Fe3H9S2O15
1.0
7.168 0.000 0.000
3.271 6.384 0.000
3.389 1.974 6.053
Fe H S O
3 9 2 15
direct
0.000 0.000 0.000 Fe
0.000 0.496 0.510 Fe
0.494 0.509 0.003 Fe
0.137 0.420 0.987 H
0.282 0.192 0.696 H
0.302 0.803 0.724 H
0.304 0.219 0.310 H
0.691 0.203 0.287 H
0.704 0.777 0.709 H
0.716 0.795 0.311 H
0.884 0.398 0.077 H
0.931 0.594 0.121 H
0.300 0.815 0.310 S
0.680 0.194 0.708 S
0.119 0.233 0.739 O
0.159 0.677 0.499 O
0.162 0.001 0.173 O
0.260 0.766 0.885 O
0.267 0.379 0.272 O
0.384 0.902 0.394 O
0.487 0.333 0.846 O
0.492 0.678 0.170 O
0.598 0.105 0.623 O
0.727 0.623 0.731 O
0.749 0.255 0.125 O
0.814 0.010 0.848 O
0.821 0.331 0.518 O
0.880 0.745 0.253 O
0.977 0.502 0.021 O
```